(1)
The following is a simulated powder XRD pattern of PrYI4. It was derived from a DFT-relaxed cell (PBE, Alexandria), using Cu Kα, 1.54184 Å.
Neutral-atom scattering factors, no anomalous dispersion.

Atomic structure:
a b c (Å): 8.575 8.777 12.351
angles (deg): 90.00 90.00 90.00
Space group Imma (No. 74)
One atom of each set of equivalent atoms:
Pr: 0.250 0.250 0.250 [4 per cell]
Y: 0.000 0.000 0.000 [4 per cell]
I: 0.000 0.022 0.750 [8 per cell]
I: 0.243 0.250 0.510 [8 per cell]

Principal peaks in the range 2θ from 10° to 80°, in order of falling intensity:
2θ = 29.12°, I = 100
2θ = 41.50°, I = 74
2θ = 28.92°, I = 51
2θ = 51.92°, I = 19
2θ = 25.29°, I = 19
2θ = 24.89°, I = 19


(2)
The following is a simulated powder XRD pattern of AcSnO4. It was derived from a DFT-relaxed cell (PBE, Alexandria), using Cu Kα, 1.54184 Å.
Neutral-atom scattering factors, no anomalous dispersion.

Atomic structure:
a b c (Å): 3.920 3.920 13.283
angles (deg): 90.00 90.00 90.00
Space group P4/nmm (No. 129, origin choice 2)
One atom of each set of equivalent atoms:
Ac: 0.250 0.250 0.113 [2 per cell]
Sn: 0.250 0.250 0.666 [2 per cell]
O: 0.250 0.250 0.818 [2 per cell]
O: 0.250 0.750 0.000 [2 per cell]
O: 0.250 0.750 0.370 [4 per cell]

Principal peaks in the range 2θ from 10° to 80°, in order of falling intensity:
2θ = 26.40°, I = 100
2θ = 32.30°, I = 30
2θ = 54.11°, I = 30
2θ = 30.46°, I = 26
2θ = 26.85°, I = 21
2θ = 42.48°, I = 20


(3)
The following is a simulated powder XRD pattern of SrPr2C. It was derived from a DFT-relaxed cell (PBE, Alexandria), using Cu Kα, 1.54184 Å.
Neutral-atom scattering factors, no anomalous dispersion.

Atomic structure:
a b c (Å): 3.7843 3.7843 31.6826
angles (deg): 90.00 90.00 120.00
Space group R-3m (No. 166, hexagonal axes)
One atom of each set of equivalent atoms:
Sr: 0.0000 0.0000 0.0000 [3 per cell]
Pr: 0.0000 0.0000 0.1221 [6 per cell]
C: 0.0000 0.0000 0.5000 [3 per cell]

Principal peaks in the range 2θ from 10° to 80°, in order of falling intensity:
2θ = 27.36°, I = 100
2θ = 35.56°, I = 91
2θ = 25.30°, I = 49
2θ = 33.77°, I = 46
2θ = 48.09°, I = 39
2θ = 29.50°, I = 35


(4)
The following is a simulated powder XRD pattern of Dy4YIn. It was derived from a DFT-relaxed cell (PBE, Alexandria), using Cu Kα, 1.54184 Å.
Neutral-atom scattering factors, no anomalous dispersion.

Atomic structure:
a b c (Å): 10.478 6.050 11.792
angles (deg): 90.00 107.72 90.00
Space group C2/c (No. 15)
One atom of each set of equivalent atoms:
Dy: 0.079 0.239 0.499 [8 per cell]
Dy: 0.167 0.418 0.250 [8 per cell]
Y: 0.250 0.250 0.000 [4 per cell]
In: 0.000 0.087 0.750 [4 per cell]

Principal peaks in the range 2θ from 10° to 80°, in order of falling intensity:
2θ = 31.87°, I = 100
2θ = 33.55°, I = 96
2θ = 33.76°, I = 94
2θ = 33.65°, I = 94
2θ = 30.58°, I = 89
2θ = 52.39°, I = 73


(5)
The following is a simulated powder XRD pattern of NaLaSe4O12. It was derived from a DFT-relaxed cell (PBE, Alexandria), using Cu Kα, 1.54184 Å.
Neutral-atom scattering factors, no anomalous dispersion.

Atomic structure:
a b c (Å): 7.324 7.174 10.425
angles (deg): 90.00 90.00 90.00
Space group Amm2 (No. 38)
One atom of each set of equivalent atoms:
Na: 0.000 0.000 0.000 [2 per cell]
La: 0.500 0.000 0.539 [2 per cell]
Se: 0.245 0.242 0.269 [8 per cell]
O: 0.000 0.233 0.829 [4 per cell]
O: 0.208 0.000 0.200 [4 per cell]
O: 0.241 0.000 0.708 [4 per cell]
O: 0.305 0.227 0.423 [8 per cell]
O: 0.500 0.243 0.200 [4 per cell]

Principal peaks in the range 2θ from 10° to 80°, in order of falling intensity:
2θ = 30.25°, I = 100
2θ = 29.82°, I = 97
2θ = 19.30°, I = 77
2θ = 17.01°, I = 54
2θ = 35.02°, I = 49
2θ = 49.91°, I = 42


(6)
The following is a simulated powder XRD pattern of CePmIrAu. It was derived from a DFT-relaxed cell (PBE, Alexandria), using Cu Kα, 1.54184 Å.
Neutral-atom scattering factors, no anomalous dispersion.

Atomic structure:
a b c (Å): 4.132 3.939 11.996
angles (deg): 90.00 90.00 90.00
Space group Amm2 (No. 38)
One atom of each set of equivalent atoms:
Ce: 0.000 0.000 0.000 [2 per cell]
Pm: 0.500 0.000 0.719 [2 per cell]
Ir: 0.500 0.000 0.474 [2 per cell]
Au: 0.000 0.000 0.294 [2 per cell]

Principal peaks in the range 2θ from 10° to 80°, in order of falling intensity:
2θ = 32.27°, I = 100
2θ = 38.79°, I = 86
2θ = 29.79°, I = 39
2θ = 37.04°, I = 30
2θ = 43.82°, I = 27
2θ = 46.09°, I = 23


(7)
The following is a simulated powder XRD pattern of RbAcSeCl2. It was derived from a DFT-relaxed cell (PBE, Alexandria), using Cu Kα, 1.54184 Å.
Neutral-atom scattering factors, no anomalous dispersion.

Atomic structure:
a b c (Å): 5.811 5.811 5.994
angles (deg): 90.00 90.00 90.00
Space group P4mm (No. 99)
One atom of each set of equivalent atoms:
Rb: 0.000 0.000 0.000 [1 per cell]
Ac: 0.500 0.500 0.486 [1 per cell]
Se: 0.500 0.500 0.985 [1 per cell]
Cl: 0.000 0.500 0.479 [2 per cell]

Principal peaks in the range 2θ from 10° to 80°, in order of falling intensity:
2θ = 21.30°, I = 100
2θ = 15.25°, I = 95
2θ = 21.63°, I = 92
2θ = 30.77°, I = 84
2θ = 43.38°, I = 64
2θ = 37.13°, I = 48


(8)
The following is a simulated powder XRD pattern of SiSb3. It was derived from a DFT-relaxed cell (PBE, Alexandria), using Cu Kα, 1.54184 Å.
Neutral-atom scattering factors, no anomalous dispersion.

Atomic structure:
a b c (Å): 5.113 4.151 5.231
angles (deg): 90.00 109.34 90.00
Space group P2/m (No. 10)
One atom of each set of equivalent atoms:
Si: 0.000 0.000 0.000 [1 per cell]
Sb: 0.228 0.500 0.772 [2 per cell]
Sb: 0.500 0.000 0.500 [1 per cell]

Principal peaks in the range 2θ from 10° to 80°, in order of falling intensity:
2θ = 30.21°, I = 100
2θ = 29.88°, I = 54
2θ = 42.62°, I = 39
2θ = 43.39°, I = 37
2θ = 53.77°, I = 28
2θ = 43.61°, I = 19